Record 1
Dy4Tl3: theoretical X-ray diffraction stick pattern (Cu Kα X-rays), based on a DFT-relaxed cell (PBE, Alexandria).

Top 6 peaks for 15° ≤ 2θ ≤ 90°, in order of rising 2θ:
- 2θ 32.98, I = 100, (1 2 2)
- 2θ 33.28, I = 100, (4 1 0)
- 2θ 47.56, I = 33, (6 -2 2)
- 2θ 58.72, I = 14, (3 -1 4)
- 2θ 59.29, I = 30, (0 7 2)
- 2θ 59.47, I = 16, (3 6 0)

Atomic structure:
Lattice parameters (Å, degrees): 14.2445 14.2445 6.6813 90.00 90.00 120.00
Space group R-3 (No. 148, hexagonal axes)
Inequivalent atoms, fractional coordinates:
Dy 0.0000 0.0000 0.0000 x3
Dy 0.0000 0.0000 0.5000 x3
Dy 0.0533 0.8004 0.1784 x18
Tl 0.0476 0.8249 0.7030 x18

***

Record 2
Dy2Tl3: theoretical X-ray diffraction stick pattern (Cu Kα X-rays), based on a DFT-relaxed cell (PBE, Alexandria).

Top 6 peaks for 15° ≤ 2θ ≤ 90°, in order of rising 2θ:
- 2θ 32.45, I = 100, (1 2 1)
- 2θ 36.62, I = 35, (3 1 0)
- 2θ 39.63, I = 15, (0 0 2)
- 2θ 55.06, I = 22, (3 1 2)
- 2θ 63.32, I = 25, (5 0 1)
- 2θ 67.41, I = 12, (1 2 3)

Atomic structure:
Lattice parameters (Å, degrees): 7.7595 7.7595 4.5483 90.00 90.00 90.00
Space group P4/m (No. 83)
Inequivalent atoms, fractional coordinates:
Dy 0.1286 0.6951 0.0000 x4
Tl 0.0000 0.0000 0.5000 x1
Tl 0.1804 0.3947 0.5000 x4
Tl 0.5000 0.5000 0.0000 x1

***

Record 3
Dy5Tl3: theoretical X-ray diffraction stick pattern (Cu Kα X-rays), based on a DFT-relaxed cell (PBE, Alexandria).

Top 6 peaks for 15° ≤ 2θ ≤ 90°, in order of rising 2θ:
- 2θ 32.19, I = 100, (0 4 1)
- 2θ 32.30, I = 83, (2 1 1)
- 2θ 33.30, I = 26, (2 3 0)
- 2θ 34.42, I = 28, (2 2 1)
- 2θ 34.89, I = 53, (0 0 2)
- 2θ 60.90, I = 30, (0 4 3)

Atomic structure:
Lattice parameters (Å, degrees): 6.7951 13.2202 5.1428 90.00 90.00 90.00
Space group Pbam (No. 55)
Inequivalent atoms, fractional coordinates:
Dy 0.0000 0.0000 0.0000 x2
Dy 0.1530 0.2751 0.0000 x4
Dy 0.1541 0.6084 0.5000 x4
Tl 0.0000 0.5000 0.0000 x2
Tl 0.1107 0.8507 0.5000 x4

***

Record 4
Dy4Tl: theoretical X-ray diffraction stick pattern (Cu Kα X-rays), based on a DFT-relaxed cell (PBE, Alexandria).

Top 6 peaks for 15° ≤ 2θ ≤ 90°, in order of rising 2θ:
- 2θ 30.88, I = 26, (4 0 -2)
- 2θ 32.47, I = 61, (1 1 2)
- 2θ 32.63, I = 38, (3 1 -2)
- 2θ 32.81, I = 100, (5 1 0)
- 2θ 32.99, I = 53, (0 2 0)
- 2θ 58.80, I = 19, (5 3 0)

Atomic structure:
Lattice parameters (Å, degrees): 16.1377 5.4307 6.9763 90.00 101.96 90.00
Space group C2/m (No. 12)
Inequivalent atoms, fractional coordinates:
Dy 0.0000 0.0000 0.0000 x2
Dy 0.0000 0.0000 0.5000 x2
Dy 0.0973 0.5000 0.2798 x4
Dy 0.2014 0.0000 0.8553 x4
Dy 0.2191 0.0000 0.3649 x4
Tl 0.0972 0.5000 0.7900 x4